Starting from a structure optimized by DFT (PBE+U), the powder X-ray diffraction pattern of Li4Co3Sn2Sb3O16 was simulated for CuKα.
Peak positions follow from Bragg's law for the DFT cell and can differ from measured ones.

The 12 most intense peaks (2θ from 15° to 90°), low angle first:
17.9 deg, rel. 76, (0 0 2); 18.6 deg, rel. 71, (2 0 -1); 18.7 deg, rel. 100, (1 1 -1); 18.8 deg, rel. 54, (1 1 1); 24.5 deg, rel. 44, (2 0 2); 31.9 deg, rel. 56, (1 1 3); 33.8 deg, rel. 44, (3 1 -2); 34.2 deg, rel. 85, (0 2 2); 34.5 deg, rel. 69, (4 0 1); 34.6 deg, rel. 51, (2 2 1); 58.0 deg, rel. 43, (4 0 5); 59.4 deg, rel. 48, (6 2 0)

Cell and atoms:
```
data_Li4Co3Sn2Sb3O16
_cell_length_a 10.806
_cell_length_b 6.197
_cell_length_c 9.915
_cell_angle_alpha 90.00
_cell_angle_beta 90.78
_cell_angle_gamma 90.00
_space_group_name_H-M_alt 'C 1 m 1'
_space_group_IT_number 8
loop_
_space_group_symop_operation_xyz
'x,y,z'
'x,-y,z'
'x+1/2,y+1/2,z'
'x+1/2,-y+1/2,z'
loop_
_atom_site_label
_atom_site_type_symbol
_atom_site_fract_x
_atom_site_fract_y
_atom_site_fract_z
_atom_site_occupancy
Li1 Li 0.000 0.000 0.000 1
Li2 Li 0.010 0.000 0.520 1
Li3 Li 0.171 0.500 0.094 1
Li4 Li 0.335 0.000 0.615 1
Co1 Co 0.077 0.256 0.791 1
Co2 Co 0.165 0.000 0.288 1
Sn1 Sn 0.151 0.500 0.525 1
Sn2 Sn 0.316 0.000 0.000 1
Sb1 Sb 0.323 0.500 0.788 1
Sb2 Sb 0.411 0.247 0.287 1
O1 O 0.011 0.500 0.660 1
O2 O 0.073 0.243 0.402 1
O3 O 0.151 0.000 0.908 1
O4 O 0.170 0.500 0.896 1
O5 O 0.243 0.280 0.659 1
O6 O 0.261 0.225 0.163 1
O7 O 0.335 0.500 0.400 1
O8 O 0.336 0.000 0.398 1
O9 O 0.405 0.261 0.908 1
O10 O 0.480 0.000 0.164 1
O11 O 0.485 0.500 0.700 1
O12 O 0.493 0.500 0.188 1
```